Computed powder diffractogram
Compound: AlInGaSb3
Radiation: Cu Kα, 1.54184 Å
Structure: the GGA-PBE geometry in the Materials Project

Structure:
```
data_AlInGaSb3
_cell_length_a 4.499
_cell_length_b 4.513
_cell_length_c 18.992
_cell_angle_alpha 90.00
_cell_angle_beta 90.00
_cell_angle_gamma 90.00
_symmetry_space_group_name_H-M 'I m m 2'
_symmetry_Int_Tables_number 44
_symmetry_space_group_name_Hall 'I 2 -2'
loop_
_atom_site_label
_atom_site_fract_x
_atom_site_fract_y
_atom_site_fract_z
_atom_site_occupancy
Al1 0.000 0.000 0.000 1
In1 0.000 0.000 0.670 1
Ga1 0.000 0.000 0.339 1
Sb1 0.000 0.500 0.079 1
Sb2 0.000 0.500 0.420 1
Sb3 0.000 0.500 0.760 1
```

Main lines, most intense first (10 to 80 degrees two-theta):
h k l  2θ (°)  I/Imax
1 0 3  24.25  100
2 0 0  40.14  61
1 2 3  47.34  32
0 1 9  47.58  15
0 2 0  39.96  13
3 0 3  63.82  9
2 2 0  57.89  8
1 3 6  72.70  8

***

Computed powder diffractogram
Compound: AlGaIr2
Radiation: Cu Kα, 1.54184 Å
Structure: the GGA-PBE geometry in the Materials Project

Structure:
```
data_AlGaIr2
_cell_length_a 6.075
_cell_length_b 6.075
_cell_length_c 6.075
_cell_angle_alpha 90.00
_cell_angle_beta 90.00
_cell_angle_gamma 90.00
_symmetry_space_group_name_H-M 'F m -3 m'
_symmetry_Int_Tables_number 225
_symmetry_space_group_name_Hall '-F 4 2 3'
loop_
_atom_site_label
_atom_site_fract_x
_atom_site_fract_y
_atom_site_fract_z
_atom_site_occupancy
Al1 0.000 0.000 0.000 1
Ga1 0.000 0.000 0.500 1
Ir1 0.250 0.250 0.250 1
```

Main lines, most intense first (10 to 80 degrees two-theta):
h k l  2θ (°)  I/Imax
2 2 0  42.07  100
2 0 0  29.40  43
4 2 2  76.88  34
4 0 0  61.01  17
4 2 0  69.15  16
2 2 2  52.15  12
1 1 1  25.39  2
3 1 1  49.78  1

***

Computed powder diffractogram
Compound: LaAl2Ga2
Radiation: Cu Kα, 1.54184 Å
Structure: the GGA-PBE geometry in the Materials Project

Structure:
```
data_LaAl2Ga2
_cell_length_a 4.294
_cell_length_b 4.294
_cell_length_c 11.178
_cell_angle_alpha 90.00
_cell_angle_beta 90.00
_cell_angle_gamma 90.00
_symmetry_space_group_name_H-M 'I 4/m m m'
_symmetry_Int_Tables_number 139
_symmetry_space_group_name_Hall '-I 4 2'
loop_
_atom_site_label
_atom_site_fract_x
_atom_site_fract_y
_atom_site_fract_z
_atom_site_occupancy
La1 0.000 0.000 0.000 1
Al1 0.000 0.500 0.250 1
Ga1 0.000 0.000 0.386 1
```

Main lines, most intense first (10 to 80 degrees two-theta):
h k l  2θ (°)  I/Imax
1 0 3  31.80  100
1 1 2  33.59  81
1 1 0  29.41  68
2 0 0  42.08  55
1 0 5  45.75  55
2 1 3  53.69  45
2 1 5  63.90  40
0 0 2  15.86  28

***

Computed powder diffractogram
Compound: La3Al2Ga3SnO14
Radiation: Cu Kα, 1.54184 Å
Structure: the GGA-PBE geometry in the Materials Project

Structure:
```
data_La3Al2Ga3SnO14
_cell_length_a 8.3145
_cell_length_b 8.3145
_cell_length_c 5.1826
_cell_angle_alpha 90.00
_cell_angle_beta 90.00
_cell_angle_gamma 120.00
_symmetry_space_group_name_H-M 'P 3 2 1'
_symmetry_Int_Tables_number 150
_symmetry_space_group_name_Hall 'P 3 2"'
loop_
_atom_site_label
_atom_site_fract_x
_atom_site_fract_y
_atom_site_fract_z
_atom_site_occupancy
La1 0.0000 0.4301 0.0000 1
Al1 0.3333 0.6667 0.4637 1
Ga1 0.0000 0.7525 0.5000 1
Sn1 0.0000 0.0000 0.0000 1
O1 0.0844 0.2300 0.7598 1
O2 0.1514 0.6853 0.3107 1
O3 0.3333 0.6667 0.8022 1
```

Main lines, most intense first (10 to 80 degrees two-theta):
h k l  2θ (°)  I/Imax
2 0 1  30.23  100
1 1 1  27.51  67
2 1 2  48.51  28
2 0 0  24.73  24
2 1 0  32.91  22
1 3 1  48.87  21
0 2 2  43.01  19
2 3 1  58.66  19

***

Computed powder diffractogram
Compound: La2Al3GaPd4
Radiation: Cu Kα, 1.54184 Å
Structure: the GGA-PBE geometry in the Materials Project

Structure:
```
data_La2Al3GaPd4
_cell_length_a 4.426
_cell_length_b 4.426
_cell_length_c 10.208
_cell_angle_alpha 90.00
_cell_angle_beta 90.00
_cell_angle_gamma 90.00
_symmetry_space_group_name_H-M 'P -4 m 2'
_symmetry_Int_Tables_number 115
_symmetry_space_group_name_Hall 'P -4 -2'
loop_
_atom_site_label
_atom_site_fract_x
_atom_site_fract_y
_atom_site_fract_z
_atom_site_occupancy
La1 0.000 0.500 0.248 1
Al1 0.000 0.000 0.000 1
Al2 0.000 0.500 0.621 1
Ga1 0.500 0.500 0.000 1
Pd1 0.000 0.000 0.500 1
Pd2 0.000 0.500 0.868 1
Pd3 0.500 0.500 0.500 1
```

Main lines, most intense first (10 to 80 degrees two-theta):
h k l  2θ (°)  I/Imax
1 1 2  33.59  100
2 0 0  40.78  59
1 0 3  33.21  56
2 1 3  53.56  29
1 0 5  49.14  29
3 1 2  69.66  24
2 1 5  65.70  21
2 2 0  59.03  20

***

Computed powder diffractogram
Compound: Mg17Al11Ga
Radiation: Cu Kα, 1.54184 Å
Structure: the GGA-PBE geometry in the Materials Project

Structure:
```
data_Mg17Al11Ga
_cell_length_a 10.525
_cell_length_b 14.889
_cell_length_c 9.110
_cell_angle_alpha 90.00
_cell_angle_beta 125.23
_cell_angle_gamma 90.00
_symmetry_space_group_name_H-M 'C 1 m 1'
_symmetry_Int_Tables_number 8
_symmetry_space_group_name_Hall 'C -2y'
loop_
_atom_site_label
_atom_site_fract_x
_atom_site_fract_y
_atom_site_fract_z
_atom_site_occupancy
Mg1 0.000 0.000 0.000 1
Mg2 0.001 0.000 0.345 1
Mg3 0.015 0.301 0.662 1
Mg4 0.042 0.357 0.346 1
Mg5 0.102 0.500 0.632 1
Mg6 0.200 0.199 0.030 1
Mg7 0.317 0.000 0.060 1
Mg8 0.328 0.327 0.346 1
Mg9 0.342 0.342 0.743 1
Mg10 0.345 0.000 0.689 1
Mg11 0.445 0.158 0.948 1
Al1 0.093 0.093 0.712 1
Al2 0.184 0.183 0.531 1
Al3 0.226 0.408 0.979 1
Al4 0.277 0.091 0.345 1
Al5 0.314 0.500 0.525 1
Al6 0.498 0.317 0.160 1
Ga1 0.131 0.500 0.164 1
```

Main lines, most intense first (10 to 80 degrees two-theta):
h k l  2θ (°)  I/Imax
4 2 -2  36.21  100
3 5 -2  40.18  33
7 3 -4  65.12  28
1 1 -4  43.86  20
4 4 -2  42.06  11
0 12 0  76.85  9
0 10 0  62.38  9
0 2 0  11.89  9

***

Computed powder diffractogram
Compound: AlGaN2
Radiation: Cu Kα, 1.54184 Å
Structure: the GGA-PBE geometry in the Materials Project

Structure:
```
data_AlGaN2
_cell_length_a 3.1696
_cell_length_b 3.1696
_cell_length_c 5.1389
_cell_angle_alpha 90.00
_cell_angle_beta 90.00
_cell_angle_gamma 120.00
_symmetry_space_group_name_H-M 'P 3 m 1'
_symmetry_Int_Tables_number 156
_symmetry_space_group_name_Hall 'P 3 -2"'
loop_
_atom_site_label
_atom_site_fract_x
_atom_site_fract_y
_atom_site_fract_z
_atom_site_occupancy
Al1 0.0000 0.0000 0.0000 1
Ga1 0.6667 0.3333 0.4981 1
N1 0.0000 0.0000 0.6288 1
N2 0.6667 0.3333 0.1128 1
```

Main lines, most intense first (10 to 80 degrees two-theta):
h k l  2θ (°)  I/Imax
0 1 1  37.13  100
1 0 0  32.62  71
0 0 2  34.92  38
0 0 1  17.26  38
0 1 2  48.53  36
0 1 3  64.08  35
1 1 0  58.21  34
1 1 2  69.71  28

***

Computed powder diffractogram
Compound: AlGaN2
Radiation: Cu Kα, 1.54184 Å
Structure: the GGA-PBE geometry in the Materials Project

Structure:
```
data_AlGaN2
_cell_length_a 3.164
_cell_length_b 3.164
_cell_length_c 4.467
_cell_angle_alpha 90.00
_cell_angle_beta 90.00
_cell_angle_gamma 90.00
_symmetry_space_group_name_H-M 'P -4 m 2'
_symmetry_Int_Tables_number 115
_symmetry_space_group_name_Hall 'P -4 -2'
loop_
_atom_site_label
_atom_site_fract_x
_atom_site_fract_y
_atom_site_fract_z
_atom_site_occupancy
Al1 0.000 0.000 0.000 1
Ga1 0.500 0.500 0.500 1
N1 0.000 0.500 0.239 1
```

Main lines, most intense first (10 to 80 degrees two-theta):
h k l  2θ (°)  I/Imax
1 0 1  34.74  100
2 0 0  58.36  44
2 1 1  69.74  36
0 0 2  40.33  25
0 0 1  19.87  17
1 0 0  28.20  17
1 1 1  45.33  10
1 0 2  49.98  7